For AcPr4NdEr2, a cell relaxed with PBE gives the calculated X-ray powder pattern in this record (copper Kα).
Intensities are scaled so that the largest is 100.

Top 12 peaks for 10 to 90 degrees two-theta, most intense first:
Position (°2θ), I/Imax
29.61, 100
49.24, 18
49.40, 18
34.20, 17
34.32, 17
34.44, 17
58.59, 15
58.42, 15
58.75, 15
61.46, 13
79.91, 9
80.16, 9

Cell and atoms:
a = 6.3937 Å, b = 6.3937 Å, c = 10.4888 Å
α = 114.31°, β = 114.31°, γ = 48.24°
Element x y z (fractional)
Ac 0.0000 0.0000 0.0000
Pr 0.2479 0.2479 0.8707
Pr 0.2510 0.2510 0.3777
Pr 0.7490 0.7490 0.6223
Pr 0.7521 0.7521 0.1293
Nd 0.0000 0.0000 0.5000
Er 0.4992 0.4992 0.2550
Er 0.5008 0.5008 0.7450